The following is a simulated powder diffraction line list of Sb3Au5. It was derived from a PBE-relaxed structure, using Cu Kα.

Largest 8 diffraction maxima, in order of rising 2θ, 2θ from 10° to 90°:
29.42°, intensity 27, (1 0 0)
32.99°, intensity 100, (0 2 2)
38.64°, intensity 20, (1 2 0)
40.25°, intensity 14, (1 2 -1)
44.36°, intensity 21, (0 0 4)
44.74°, intensity 20, (1 2 -2)
44.84°, intensity 16, (1 2 2)
50.20°, intensity 14, (0 4 0)

Structural model:
```
Sb3Au5
1.0
3.036 0.000 0.000
0.000 7.269 0.000
-0.029 0.000 8.169
Sb Au
3 5
Direct
0.000 0.000 0.000
0.154 0.500 0.002
0.825 0.000 0.501
0.000 0.268 0.266
0.000 0.732 0.266
0.001 0.269 0.736
0.001 0.731 0.736
0.501 0.500 0.501
```

=====

The following is a simulated powder diffraction line list of TiGe2Se4. It was derived from a PBE-relaxed structure, using Cu Kα.

Largest 8 diffraction maxima, in order of rising 2θ, 2θ from 10° to 90°:
17.02°, intensity 50, (1 1 0)
30.03°, intensity 100, (1 2 1)
31.03°, intensity 30, (1 1 2)
34.42°, intensity 59, (2 2 0)
35.60°, intensity 92, (2 0 2)
47.02°, intensity 65, (1 3 2)
52.92°, intensity 60, (0 0 4)
81.00°, intensity 29, (3 5 2)

Structural model:
```
TiGe2Se4
1.0
7.369 0.000 0.000
0.000 7.369 0.000
0.000 0.000 6.920
Ti Ge Se
2 4 8
Direct
0.000 0.000 0.000
0.500 0.500 0.500
0.000 0.500 0.250
0.000 0.500 0.750
0.500 0.000 0.250
0.500 0.000 0.750
0.179 0.296 0.000
0.204 0.679 0.500
0.296 0.821 0.000
0.321 0.204 0.500
0.679 0.796 0.500
0.704 0.179 0.000
0.796 0.321 0.500
0.821 0.704 0.000
```